Structure and computed powder diffractogram of KNa2FeO3 (a cell relaxed with GGA+U; λ = 1.5418 Å (Cu Kα)).

Main lines, sorted by position (10° ≤ 2θ ≤ 90°):
hkl 0 0 2, 17.2 deg, d = 5.155 Å, rel. 58; hkl 1 1 1, 21.2 deg, d = 4.193 Å, rel. 56; hkl 2 1 0, 30.4 deg, d = 2.939 Å, rel. 36; hkl 2 0 2, 32.1 deg, d = 2.787 Å, rel. 38; hkl 0 2 2, 33.1 deg, d = 2.708 Å, rel. 96; hkl 0 0 4, 34.8 deg, d = 2.577 Å, rel. 51; hkl 2 1 2, 35.2 deg, d = 2.553 Å, rel. 100; hkl 2 2 0, 39.3 deg, d = 2.295 Å, rel. 83; hkl 2 1 4, 46.9 deg, d = 1.938 Å, rel. 43; hkl 2 2 4, 53.5 deg, d = 1.714 Å, rel. 29

Structure:
a = 6.6263 Å, b = 6.3647 Å, c = 10.3093 Å
α = 90.00°, β = 90.00°, γ = 90.00°
Sites, in units of the cell vectors:
K1 0.1629 0.2500 0.0277
K2 0.3371 0.7500 0.5277
K3 0.6629 0.2500 0.4723
K4 0.8371 0.7500 0.9723
Na1 0.0055 0.0058 0.7313
Na2 0.0055 0.4942 0.7313
Na3 0.4945 0.5058 0.2313
Na4 0.4945 0.9942 0.2313
Na5 0.5055 0.0058 0.7687
Na6 0.5055 0.4942 0.7687
Na7 0.9945 0.5058 0.2687
Na8 0.9945 0.9942 0.2687
Fe1 0.1700 0.2500 0.4915
Fe2 0.3300 0.7500 0.9915
Fe3 0.6700 0.2500 0.0085
Fe4 0.8300 0.7500 0.5085
O1 0.0000 0.0000 0.5000
O2 0.0000 0.5000 0.5000
O3 0.1637 0.7500 0.1388
O4 0.2095 0.7500 0.8267
O5 0.2905 0.2500 0.3267
O6 0.3363 0.2500 0.6388
O7 0.5000 0.0000 0.0000
O8 0.5000 0.5000 0.0000
O9 0.6637 0.7500 0.3612
O10 0.7095 0.7500 0.6733
O11 0.7905 0.2500 0.1733
O12 0.8363 0.2500 0.8612